# 1
Computed powder X-ray diffraction pattern
Compound: RbNi6Te4
Radiation: Cu Kα, 1.54184 Å
Structure: a GGA-PBE-relaxed structure

Largest 6 diffraction maxima, in order of rising 2θ, 10° ≤ 2θ ≤ 90°:
2θ/deg	intensity
27.29	100.0
41.12	32.7
43.40	42.7
46.25	52.0
52.03	32.9
81.68	18.6

Structure:
a b c (Å): 13.481 13.481 13.481
angles (deg): 162.21 162.21 25.27
Fractional positions:
Rb 0.000 0.000 0.000
Ni 0.141 0.641 0.500
Ni 0.250 0.750 0.500
Ni 0.359 0.859 0.500
Ni 0.641 0.141 0.500
Ni 0.750 0.250 0.500
Ni 0.859 0.359 0.500
Te 0.195 0.195 0.000
Te 0.413 0.413 0.000
Te 0.587 0.587 0.000
Te 0.805 0.805 0.000

***

# 2
Computed powder X-ray diffraction pattern
Compound: Na9Tl2Pb
Radiation: Cu Kα, 1.54184 Å
Structure: a GGA-PBE-relaxed structure

Largest 6 diffraction maxima, in order of rising 2θ, 10° ≤ 2θ ≤ 90°:
2θ/deg	intensity
12.84	48.0
17.55	100.0
20.72	38.9
22.33	38.2
31.51	71.5
33.01	41.9

Structure:
a b c (Å): 5.430 8.639 9.191
angles (deg): 101.65 107.03 108.01
Fractional positions:
Na 0.000 0.000 0.000
Na 0.009 0.752 0.265
Na 0.331 0.171 0.492
Na 0.336 0.688 0.986
Na 0.344 0.419 0.267
Na 0.656 0.581 0.733
Na 0.664 0.312 0.014
Na 0.669 0.829 0.508
Na 0.991 0.248 0.735
Tl 0.327 0.921 0.735
Tl 0.673 0.079 0.265
Pb 0.000 0.500 0.500

***

# 3
Computed powder X-ray diffraction pattern
Compound: Nd2Ga3Pt4Rh
Radiation: Cu Kα, 1.54184 Å
Structure: a GGA-PBE-relaxed structure

Largest 6 diffraction maxima, in order of rising 2θ, 10° ≤ 2θ ≤ 90°:
2θ/deg	intensity
32.14	30.4
34.69	100.0
44.10	50.5
44.61	27.0
45.61	30.0
75.01	21.4

Structure:
a b c (Å): 4.107 4.107 11.367
angles (deg): 90.00 90.00 90.00
Fractional positions:
Nd 0.000 0.500 0.244
Nd 0.500 0.000 0.756
Ga 0.000 0.000 0.000
Ga 0.000 0.500 0.631
Ga 0.500 0.000 0.369
Pt 0.000 0.000 0.500
Pt 0.000 0.500 0.849
Pt 0.500 0.000 0.151
Pt 0.500 0.500 0.500
Rh 0.500 0.500 0.000

***

# 4
Computed powder X-ray diffraction pattern
Compound: Pr12Si6Bi
Radiation: Cu Kα, 1.54184 Å
Structure: a GGA-PBE-relaxed structure

Largest 6 diffraction maxima, in order of rising 2θ, 10° ≤ 2θ ≤ 90°:
2θ/deg	intensity
27.18	65.9
29.83	63.6
32.28	100.0
51.34	43.4
54.51	46.4
63.38	24.5

Structure:
a b c (Å): 8.987 8.987 8.987
angles (deg): 109.47 109.47 109.47
Fractional positions:
Pr 0.108 0.810 0.298
Pr 0.190 0.298 0.488
Pr 0.190 0.702 0.892
Pr 0.298 0.108 0.810
Pr 0.298 0.488 0.190
Pr 0.488 0.190 0.298
Pr 0.512 0.810 0.702
Pr 0.702 0.512 0.810
Pr 0.702 0.892 0.190
Pr 0.810 0.298 0.108
Pr 0.810 0.702 0.512
Pr 0.892 0.190 0.702
Si 0.113 0.613 0.500
Si 0.387 0.500 0.887
Si 0.500 0.113 0.613
Si 0.500 0.887 0.387
Si 0.613 0.500 0.113
Si 0.887 0.387 0.500
Bi 0.000 0.000 0.000

***

Repeat the third record exactly.
Computed powder X-ray diffraction pattern
Compound: Nd2Ga3Pt4Rh
Radiation: Cu Kα, 1.54184 Å
Structure: a GGA-PBE-relaxed structure

Largest 6 diffraction maxima, in order of rising 2θ, 10° ≤ 2θ ≤ 90°:
2θ/deg	intensity
32.14	30.4
34.69	100.0
44.10	50.5
44.61	27.0
45.61	30.0
75.01	21.4

Structure:
a b c (Å): 4.107 4.107 11.367
angles (deg): 90.00 90.00 90.00
Fractional positions:
Nd 0.000 0.500 0.244
Nd 0.500 0.000 0.756
Ga 0.000 0.000 0.000
Ga 0.000 0.500 0.631
Ga 0.500 0.000 0.369
Pt 0.000 0.000 0.500
Pt 0.000 0.500 0.849
Pt 0.500 0.000 0.151
Pt 0.500 0.500 0.500
Rh 0.500 0.500 0.000